1.
Theoretical XRD peak list of DyAgPdRh for CuKα, from the PBE geometry in Alexandria.

Crystal structure
```
data_DyAgPdRh
_cell_length_a 6.6243
_cell_length_b 6.6243
_cell_length_c 6.6243
_cell_angle_alpha 90.00
_cell_angle_beta 90.00
_cell_angle_gamma 90.00
_symmetry_space_group_name_H-M 'F -4 3 m'
_symmetry_Int_Tables_number 216
_symmetry_space_group_name_Hall 'F -4 2 3'
loop_
_atom_site_label
_atom_site_type_symbol
_atom_site_fract_x
_atom_site_fract_y
_atom_site_fract_z
_atom_site_occupancy
Dy1 Dy 0.0000 0.0000 0.0000 1
Ag1 Ag 0.0000 0.0000 0.5000 1
Pd1 Pd 0.2500 0.2500 0.2500 1
Rh1 Rh 0.2500 0.2500 0.7500 1
```

The 10 most intense peaks (2θ from 10° to 90°), sorted by position:
2θ/deg	intensity	hkl
23.3	2	1 1 1
26.9	2	2 0 0
38.4	100	2 2 0
45.4	1	3 1 1
47.5	1	2 2 2
55.5	17	4 0 0
61.0	1	3 3 1
62.7	1	4 2 0
69.5	34	4 2 2
82.3	11	4 4 0

2.
Theoretical XRD peak list of ThAl5 for CuKα, from the PBE geometry in Alexandria.

Crystal structure
```
data_ThAl5
_cell_length_a 4.3643
_cell_length_b 6.5607
_cell_length_c 8.6114
_cell_angle_alpha 90.00
_cell_angle_beta 90.00
_cell_angle_gamma 90.00
_symmetry_space_group_name_H-M 'I m m m'
_symmetry_Int_Tables_number 71
_symmetry_space_group_name_Hall '-I 2 2'
loop_
_atom_site_label
_atom_site_type_symbol
_atom_site_fract_x
_atom_site_fract_y
_atom_site_fract_z
_atom_site_occupancy
Th1 Th 0.0000 0.0000 0.0000 1
Al1 Al 0.0000 0.2090 0.3393 1
Al2 Al 0.0000 0.5000 0.0000 1
```

The 10 most intense peaks (2θ from 10° to 90°), sorted by position:
2θ/deg	intensity	hkl
17.0	100	0 1 1
20.6	42	0 0 2
22.8	58	1 0 1
24.5	68	1 1 0
32.2	46	1 1 2
34.1	30	0 1 3
34.4	49	0 2 2
35.8	94	1 2 1
37.5	58	1 0 3
54.8	26	2 2 2